No. 1
Simulated PXRD pattern of PuMgO5 for Cu Kα (λ = 1.5418 Å), from a structure optimized by DFT (PBE).
Neutral-atom scattering factors, no anomalous dispersion.

Crystal structure
abc: 5.220 10.197 7.514
angles: 90.00 107.50 90.00
Element x y z (fractional)
1 Pu 0.052 0.024 0.240
2 Pu 0.052 0.476 0.740
3 Pu 0.948 0.524 0.260
4 Pu 0.948 0.976 0.760
5 Mg 0.396 0.244 0.619
6 Mg 0.396 0.256 0.119
7 Mg 0.604 0.744 0.881
8 Mg 0.604 0.756 0.381
9 O 0.094 0.096 0.613
10 O 0.094 0.404 0.113
11 O 0.152 0.097 0.009
12 O 0.152 0.403 0.509
13 O 0.240 0.636 0.311
14 O 0.240 0.864 0.811
15 O 0.317 0.178 0.352
16 O 0.317 0.322 0.852
17 O 0.344 0.588 0.787
18 O 0.344 0.912 0.287
19 O 0.656 0.088 0.713
20 O 0.656 0.412 0.213
21 O 0.683 0.678 0.148
22 O 0.683 0.822 0.648
23 O 0.760 0.136 0.189
24 O 0.760 0.364 0.689
25 O 0.848 0.597 0.491
26 O 0.848 0.903 0.991
27 O 0.906 0.596 0.887
28 O 0.906 0.904 0.387

Peak list (8 most intense, 2θ from 10° to 90°, by angle)
| two_theta | d_spacing | I (rel.) | h k l |
| --- | --- | --- | --- |
| 17.39 | 5.099 | 83 | 0 2 0 |
| 17.81 | 4.979 | 83 | 1 0 0 |
| 20.36 | 4.361 | 25 | 1 1 -1 |
| 24.85 | 3.583 | 52 | 0 0 2 |
| 25.00 | 3.562 | 100 | 1 2 0 |
| 25.90 | 3.440 | 30 | 1 0 -2 |
| 30.49 | 2.932 | 50 | 0 2 2 |
| 31.37 | 2.852 | 37 | 1 2 -2 |

No. 2
Simulated PXRD pattern of Pu2Mg4O9 for Cu Kα (λ = 1.5418 Å), from a structure optimized by DFT (PBE).
Neutral-atom scattering factors, no anomalous dispersion.

Crystal structure
abc: 5.346 5.346 14.743
angles: 90.00 90.00 120.00
Element x y z (fractional)
1 Pu 0.000 0.000 0.142
2 Pu 0.000 0.000 0.358
3 Pu 0.000 0.000 0.642
4 Pu 0.000 0.000 0.858
5 Mg 0.333 0.667 0.185
6 Mg 0.333 0.667 0.485
7 Mg 0.333 0.667 0.685
8 Mg 0.333 0.667 0.985
9 Mg 0.667 0.333 0.015
10 Mg 0.667 0.333 0.315
11 Mg 0.667 0.333 0.515
12 Mg 0.667 0.333 0.815
13 O 0.000 0.297 0.250
14 O 0.000 0.703 0.750
15 O 0.029 0.367 0.582
16 O 0.029 0.662 0.082
17 O 0.297 0.000 0.250
18 O 0.297 0.297 0.750
19 O 0.338 0.367 0.082
20 O 0.338 0.971 0.582
21 O 0.367 0.029 0.918
22 O 0.367 0.338 0.418
23 O 0.633 0.662 0.582
24 O 0.633 0.971 0.082
25 O 0.662 0.029 0.418
26 O 0.662 0.633 0.918
27 O 0.703 0.000 0.750
28 O 0.703 0.703 0.250
29 O 0.971 0.338 0.918
30 O 0.971 0.633 0.418

Peak list (8 most intense, 2θ from 10° to 90°, by angle)
| two_theta | d_spacing | I (rel.) | h k l |
| --- | --- | --- | --- |
| 19.17 | 4.629 | 100 | 1 0 0 |
| 31.01 | 2.884 | 72 | 0 1 4 |
| 33.53 | 2.673 | 37 | 1 1 0 |
| 38.91 | 2.315 | 18 | 2 0 0 |
| 41.74 | 2.164 | 25 | 1 1 4 |
| 46.32 | 1.960 | 28 | 2 0 4 |
| 50.45 | 1.809 | 17 | 1 1 6 |
| 58.38 | 1.581 | 27 | 1 2 4 |

No. 3
Simulated PXRD pattern of PuMgSbO6 for Cu Kα (λ = 1.5418 Å), from a structure optimized by DFT (PBE).
Neutral-atom scattering factors, no anomalous dispersion.

Crystal structure
abc: 5.235 5.235 9.456
angles: 90.00 90.00 120.00
Element x y z (fractional)
1 Pu 0.000 0.000 0.000
2 Pu 0.000 0.000 0.500
3 Mg 0.333 0.667 0.250
4 Mg 0.667 0.333 0.750
5 Sb 0.333 0.667 0.750
6 Sb 0.667 0.333 0.250
7 O 0.012 0.345 0.632
8 O 0.012 0.667 0.868
9 O 0.333 0.345 0.868
10 O 0.333 0.988 0.632
11 O 0.345 0.012 0.132
12 O 0.345 0.333 0.368
13 O 0.655 0.667 0.632
14 O 0.655 0.988 0.868
15 O 0.667 0.012 0.368
16 O 0.667 0.655 0.132
17 O 0.988 0.333 0.132
18 O 0.988 0.655 0.368

Peak list (8 most intense, 2θ from 10° to 90°, by angle)
| two_theta | d_spacing | I (rel.) | h k l |
| --- | --- | --- | --- |
| 19.58 | 4.534 | 28 | 1 0 0 |
| 21.74 | 4.088 | 14 | 1 0 1 |
| 27.25 | 3.272 | 100 | 1 0 2 |
| 34.26 | 2.618 | 32 | 1 1 0 |
| 44.31 | 2.044 | 27 | 2 0 2 |
| 52.13 | 1.754 | 32 | 1 1 4 |
| 57.18 | 1.611 | 26 | 2 1 2 |
| 61.34 | 1.511 | 12 | 3 0 0 |

No. 4
Simulated PXRD pattern of PuMgSnO6 for Cu Kα (λ = 1.5418 Å), from a structure optimized by DFT (PBE).
Neutral-atom scattering factors, no anomalous dispersion.

Crystal structure
abc: 5.406 5.406 9.179
angles: 90.00 90.00 120.00
Element x y z (fractional)
1 Pu 0.333 0.667 0.250
2 Pu 0.667 0.333 0.750
3 Mg 0.000 0.000 0.000
4 Mg 0.000 0.000 0.500
5 Sn 0.333 0.667 0.750
6 Sn 0.667 0.333 0.250
7 O 0.003 0.341 0.130
8 O 0.003 0.661 0.370
9 O 0.339 0.341 0.370
10 O 0.339 0.997 0.130
11 O 0.341 0.003 0.630
12 O 0.341 0.339 0.870
13 O 0.659 0.661 0.130
14 O 0.659 0.997 0.370
15 O 0.661 0.003 0.870
16 O 0.661 0.659 0.630
17 O 0.997 0.339 0.630
18 O 0.997 0.659 0.870

Peak list (8 most intense, 2θ from 10° to 90°, by angle)
| two_theta | d_spacing | I (rel.) | h k l |
| --- | --- | --- | --- |
| 18.95 | 4.682 | 60 | 1 0 0 |
| 19.34 | 4.589 | 92 | 0 0 2 |
| 21.30 | 4.171 | 37 | 1 0 1 |
| 27.21 | 3.277 | 91 | 1 0 2 |
| 33.14 | 2.703 | 72 | 1 1 0 |
| 38.66 | 2.329 | 100 | 1 1 2 |
| 52.29 | 1.749 | 67 | 1 1 4 |
| 59.20 | 1.561 | 27 | 3 0 0 |

No. 5
Simulated PXRD pattern of PuMgTcO6 for Cu Kα (λ = 1.5418 Å), from a structure optimized by DFT (PBE).
Neutral-atom scattering factors, no anomalous dispersion.

Crystal structure
abc: 5.320 5.320 9.098
angles: 90.00 90.00 120.00
Element x y z (fractional)
1 Pu 0.333 0.667 0.250
2 Pu 0.667 0.333 0.750
3 Mg 0.000 0.000 0.000
4 Mg 0.000 0.000 0.500
5 Tc 0.333 0.667 0.750
6 Tc 0.667 0.333 0.250
7 O 0.023 0.353 0.631
8 O 0.023 0.671 0.869
9 O 0.329 0.353 0.869
10 O 0.329 0.977 0.631
11 O 0.353 0.023 0.131
12 O 0.353 0.329 0.369
13 O 0.647 0.671 0.631
14 O 0.647 0.977 0.869
15 O 0.671 0.023 0.369
16 O 0.671 0.647 0.131
17 O 0.977 0.329 0.131
18 O 0.977 0.647 0.369

Peak list (8 most intense, 2θ from 10° to 90°, by angle)
| two_theta | d_spacing | I (rel.) | h k l |
| --- | --- | --- | --- |
| 19.26 | 4.608 | 62 | 1 0 0 |
| 19.51 | 4.549 | 97 | 0 0 2 |
| 21.62 | 4.111 | 51 | 1 0 1 |
| 27.55 | 3.237 | 95 | 1 0 2 |
| 33.69 | 2.660 | 73 | 1 1 0 |
| 39.23 | 2.296 | 100 | 1 1 2 |
| 52.97 | 1.729 | 68 | 1 1 4 |
| 60.26 | 1.536 | 27 | 3 0 0 |

No. 6
Simulated PXRD pattern of Tm2PuMgO8 for Cu Kα (λ = 1.5418 Å), from a structure optimized by DFT (PBE).
Neutral-atom scattering factors, no anomalous dispersion.

Crystal structure
abc: 4.940 6.812 4.940
angles: 90.00 92.33 90.00
Element x y z (fractional)
1 Tm 0.000 0.236 0.000
2 Tm 0.000 0.764 0.000
3 Pu 0.500 0.500 0.500
4 Mg 0.500 0.000 0.500
5 O 0.206 0.000 0.207
6 O 0.208 0.500 0.210
7 O 0.317 0.279 0.685
8 O 0.317 0.721 0.685
9 O 0.683 0.279 0.315
10 O 0.683 0.721 0.315
11 O 0.792 0.500 0.790
12 O 0.794 0.000 0.793

Peak list (8 most intense, 2θ from 10° to 90°, by angle)
| two_theta | d_spacing | I (rel.) | h k l |
| --- | --- | --- | --- |
| 13.00 | 6.812 | 24 | 0 1 0 |
| 22.24 | 3.997 | 48 | 1 1 0 |
| 24.99 | 3.564 | 60 | 1 0 -1 |
| 26.04 | 3.421 | 52 | 1 0 1 |
| 31.92 | 2.803 | 100 | 0 2 1 |
| 36.40 | 2.468 | 29 | 2 0 0 |
| 48.58 | 1.874 | 41 | 1 2 -2 |
| 49.78 | 1.832 | 37 | 1 2 2 |